# 1
Starting from a structure optimized by DFT (GGA-PBE), the PXRD pattern of PmTh2Sc6 was simulated for λ = 1.5418 Å (Cu Kα).

Main lines, sorted by position (2θ = 10–90°):
2θ/deg, Rel. int.
21.12, 68
25.22, 84
29.62, 51
33.12, 100
34.24, 63
42.08, 38
50.50, 27
51.78, 28

```
data_PmTh2Sc6
_chemical_formula_sum 'Pm1 Th2 Sc6'
_symmetry_space_group_name_H-M 'P -3 m 1'
_symmetry_Int_Tables_number 164
_symmetry_space_group_name_Hall '-P 3 2"'
_cell_length_a 7.0625
_cell_length_b 7.0625
_cell_length_c 5.7961
_cell_angle_alpha 90.00
_cell_angle_beta 90.00
_cell_angle_gamma 120.00
loop_
_atom_site_label
_atom_site_fract_x
_atom_site_fract_y
_atom_site_fract_z
_atom_site_occupancy
Pm1 0.0000 0.0000 0.0000 1
Th1 0.3333 0.6667 0.8113 1
Sc1 0.1899 0.3799 0.3225 1
```


# 2
Starting from a structure optimized by DFT (GGA-PBE), the PXRD pattern of Pm2ThSc3 was simulated for λ = 1.5418 Å (Cu Kα).

Main lines, sorted by position (2θ = 10–90°):
2θ/deg, Rel. int.
20.76, 95
28.16, 71
30.89, 84
31.58, 100
42.25, 39
42.82, 86
44.26, 25
67.76, 22

```
data_Pm2ThSc3
_chemical_formula_sum 'Pm4 Th2 Sc6'
_symmetry_space_group_name_H-M 'I m m m'
_symmetry_Int_Tables_number 71
_symmetry_space_group_name_Hall '-I 2 2'
_cell_length_a 3.2468
_cell_length_b 6.3380
_cell_length_c 17.3925
_cell_angle_alpha 90.00
_cell_angle_beta 90.00
_cell_angle_gamma 90.00
loop_
_atom_site_label
_atom_site_fract_x
_atom_site_fract_y
_atom_site_fract_z
_atom_site_occupancy
Pm1 0.0000 0.0000 0.1811 1
Th1 0.0000 0.0000 0.5000 1
Sc1 0.0000 0.5000 0.1509 1
Sc2 0.0000 0.5000 0.5000 1
```


# 3
Starting from a structure optimized by DFT (GGA-PBE), the PXRD pattern of PmTh3Sc3 was simulated for λ = 1.5418 Å (Cu Kα).

Main lines, sorted by position (2θ = 10–90°):
2θ/deg, Rel. int.
12.35, 46
25.04, 27
31.50, 34
31.76, 100
36.76, 68
52.79, 24
53.14, 23
63.09, 28

```
data_PmTh3Sc3
_chemical_formula_sum 'Pm6 Th18 Sc18'
_symmetry_space_group_name_H-M 'R -3'
_symmetry_Int_Tables_number 148
_symmetry_space_group_name_Hall '-R 3'
_cell_length_a 9.1205
_cell_length_b 9.1205
_cell_length_c 17.0429
_cell_angle_alpha 90.00
_cell_angle_beta 90.00
_cell_angle_gamma 120.00
loop_
_atom_site_label
_atom_site_fract_x
_atom_site_fract_y
_atom_site_fract_z
_atom_site_occupancy
Pm1 0.0000 0.0000 0.2504 1
Th1 0.0414 0.8011 0.9173 1
Sc1 0.0443 0.8092 0.4201 1
```


# 4
Starting from a structure optimized by DFT (GGA-PBE), the PXRD pattern of Pm2ThSc was simulated for λ = 1.5418 Å (Cu Kα).

Main lines, sorted by position (2θ = 10–90°):
2θ/deg, Rel. int.
17.87, 18
25.15, 17
31.03, 100
35.54, 17
36.20, 33
51.63, 24
61.03, 15
61.91, 28

```
data_Pm2ThSc
_chemical_formula_sum 'Pm2 Th1 Sc1'
_symmetry_space_group_name_H-M 'P 4/m m m'
_symmetry_Int_Tables_number 123
_symmetry_space_group_name_Hall '-P 4 2'
_cell_length_a 4.9631
_cell_length_b 4.9631
_cell_length_c 5.0522
_cell_angle_alpha 90.00
_cell_angle_beta 90.00
_cell_angle_gamma 90.00
loop_
_atom_site_label
_atom_site_fract_x
_atom_site_fract_y
_atom_site_fract_z
_atom_site_occupancy
Pm1 0.0000 0.5000 0.0000 1
Th1 0.0000 0.0000 0.5000 1
Sc1 0.5000 0.5000 0.5000 1
```


# 5
Starting from a structure optimized by DFT (GGA-PBE), the PXRD pattern of PmTh2Sc2 was simulated for λ = 1.5418 Å (Cu Kα).

Main lines, sorted by position (2θ = 10–90°):
2θ/deg, Rel. int.
12.57, 27
30.37, 74
31.77, 42
32.35, 100
35.43, 69
39.39, 37
52.68, 31
62.84, 36

```
data_PmTh2Sc2
_chemical_formula_sum 'Pm1 Th2 Sc2'
_symmetry_space_group_name_H-M 'P -3 m 1'
_symmetry_Int_Tables_number 164
_symmetry_space_group_name_Hall '-P 3 2"'
_cell_length_a 3.4751
_cell_length_b 3.4751
_cell_length_c 14.0823
_cell_angle_alpha 90.00
_cell_angle_beta 90.00
_cell_angle_gamma 120.00
loop_
_atom_site_label
_atom_site_fract_x
_atom_site_fract_y
_atom_site_fract_z
_atom_site_occupancy
Pm1 0.0000 0.0000 0.0000 1
Th1 0.3333 0.6667 0.3956 1
Sc1 0.3333 0.6667 0.8026 1
```


# 6
Starting from a structure optimized by DFT (GGA-PBE), the PXRD pattern of PmTh2Sc2 was simulated for λ = 1.5418 Å (Cu Kα).

Main lines, sorted by position (2θ = 10–90°):
2θ/deg, Rel. int.
11.54, 17
31.59, 100
36.48, 17
36.66, 17
36.77, 17
52.68, 14
62.62, 14
63.00, 14

```
data_PmTh2Sc2
_chemical_formula_sum 'Pm4 Th8 Sc8'
_symmetry_space_group_name_H-M 'P 1 21/c 1'
_symmetry_Int_Tables_number 14
_symmetry_space_group_name_Hall '-P 2ybc'
_cell_length_a 12.5548
_cell_length_b 9.8042
_cell_length_c 4.8890
_cell_angle_alpha 90.00
_cell_angle_beta 101.21
_cell_angle_gamma 90.00
loop_
_atom_site_label
_atom_site_fract_x
_atom_site_fract_y
_atom_site_fract_z
_atom_site_occupancy
Pm1 0.2020 0.1155 0.3512 1
Th1 0.0027 0.6251 0.7516 1
Th2 0.4045 0.1206 0.9522 1
Sc1 0.2036 0.6359 0.3517 1
Sc2 0.4068 0.6302 0.9538 1
```